Starting from a structure optimized by DFT (PBE+U), the X-ray powder pattern of KGdMo2O8 was simulated for Cu Kα (weighted mean of Kα1 and Kα2).
Intensities are scaled so that the largest is 100.

Largest 10 diffraction maxima, low angle first, 2θ = 10–80°:
two_theta	Rel. int.	hkl
14.1	61.1	1 1 -1
25.2	13.5	1 1 1
27.3	29.4	3 1 -2
27.8	100.0	2 2 0
28.3	88.0	2 2 -2
30.1	41.4	0 0 2
34.1	14.4	3 1 0
34.3	14.1	0 4 0
46.3	24.9	0 4 2
52.7	19.1	2 2 -4

```
data_KGdMo2O8
_symmetry_space_group_name_H-M 'C 1 2/c 1'
_symmetry_Int_Tables_number 15
_cell_length_a 10.8812
_cell_length_b 10.4562
_cell_length_c 7.9211
_cell_angle_alpha 90.00
_cell_angle_beta 131.47
_cell_angle_gamma 90.00
loop_
_symmetry_equiv_pos_as_xyz
'x,y,z'
'-x,-y,-z'
'-x,y,-z+1/2'
'x,-y,z+1/2'
'x+1/2,y+1/2,z'
'-x+1/2,-y+1/2,-z'
'-x+1/2,y+1/2,-z+1/2'
'x+1/2,-y+1/2,z+1/2'
loop_
_atom_site_label
_atom_site_type_symbol
_atom_site_fract_x
_atom_site_fract_y
_atom_site_fract_z
K1 K 0.0000 0.1951 0.2500
Gd1 Gd 0.0000 0.2285 0.7500
Mo1 Mo 0.1939 0.4964 0.2402
O1 O 0.0238 0.3927 0.9681
O2 O 0.1292 0.0767 0.6960
O3 O 0.1903 0.4153 0.4339
O4 O 0.2279 0.1549 0.1224
```